# ScUPt
Calculated X-ray diffraction stick pattern, Cu Ka. Input: a cell relaxed with GGA-PBE.

Most intense lines, 10° ≤ 2θ ≤ 90°, sorted by position:
2theta, Rel. int., (hkl)
14.39, 55, 0 0 2
29.20, 78, 1 1 3
29.68, 44, 2 0 0
33.13, 36, 2 0 2
38.75, 40, 0 2 4
41.68, 100, 1 3 1
49.55, 23, 2 2 4
52.37, 16, 3 1 3
60.18, 15, 0 0 8
61.02, 33, 3 3 1
68.28, 16, 1 3 7
68.54, 22, 2 0 8

Structural model:
a = 6.021 Å, b = 7.092 Å, c = 12.308 Å
α = 90.00°, β = 90.00°, γ = 90.00°
Space group Fmmm (No. 69)
Inequivalent atoms, fractional coordinates:
Sc  0.250  0.250  0.250 (multiplicity 8)
U  0.000  0.170  0.000 (multiplicity 8)
Pt  0.000  0.000  0.376 (multiplicity 8)